1.
Theoretical powder XRD pattern
Compound: Li2TiFe2O5
Radiation: Cu Kα
Structure: a PBE+U-relaxed structure
Intensities are scaled so that the largest is 100.

Cell and atoms:
```
data_Li2TiFe2O5
_cell_length_a 4.2147
_cell_length_b 6.1163
_cell_length_c 7.9984
_cell_angle_alpha 103.59
_cell_angle_beta 105.26
_cell_angle_gamma 90.11
_space_group_name_H-M_alt 'P -1'
_space_group_IT_number 2
_space_group_name_Hall '-P 1'
loop_
_atom_site_label
_atom_site_fract_x
_atom_site_fract_y
_atom_site_fract_z
Li1 0.0000 0.0000 0.0000
Li2 0.0000 0.5000 0.0000
Li3 0.1918 0.1084 0.3910
Ti1 0.4373 0.1867 0.7981
Fe1 0.2047 0.6186 0.4054
Fe2 0.3995 0.6948 0.8012
O1 0.1102 0.3211 0.2191
O2 0.1170 0.8095 0.1916
O3 0.3050 0.3616 0.6190
O4 0.3064 0.9177 0.6157
O5 0.5000 0.0000 0.0000
O6 0.5000 0.5000 0.0000
```

The 12 most intense peaks (2θ = 10–80°), sorted by position:
14.94 deg, intensity 31; 21.91 deg, intensity 74; 23.78 deg, intensity 33; 25.76 deg, intensity 30; 36.32 deg, intensity 41; 36.84 deg, intensity 45; 41.21 deg, intensity 100; 42.92 deg, intensity 89; 43.31 deg, intensity 85; 60.97 deg, intensity 26; 61.06 deg, intensity 25; 62.02 deg, intensity 27

***

2.
Theoretical powder XRD pattern
Compound: LiTiFe2O5
Radiation: Cu Kα
Structure: a PBE+U-relaxed structure
Intensities are scaled so that the largest is 100.

Cell and atoms:
```
data_LiTiFe2O5
_cell_length_a 5.4149
_cell_length_b 5.4520
_cell_length_c 7.6295
_cell_angle_alpha 80.70
_cell_angle_beta 70.34
_cell_angle_gamma 65.38
_space_group_name_H-M_alt 'P 1'
_space_group_IT_number 1
_space_group_name_Hall 'P 1'
loop_
_atom_site_label
_atom_site_fract_x
_atom_site_fract_y
_atom_site_fract_z
Li1 0.0000 0.0000 0.0000
Li2 0.3193 0.5123 0.3868
Ti1 0.0686 0.5439 0.8040
Ti2 0.4025 0.0180 0.1806
Fe1 0.2635 0.0290 0.6023
Fe2 0.5117 0.4993 0.9986
Fe3 0.7133 0.4777 0.5797
Fe4 0.8220 0.9968 0.3961
O1 0.0848 0.2057 0.3998
O2 0.2190 0.7811 0.1788
O3 0.2831 0.2805 0.9987
O4 0.3231 0.7261 0.7946
O5 0.4474 0.2722 0.5971
O6 0.5539 0.7888 0.3983
O7 0.6351 0.2170 0.1876
O8 0.7465 0.7387 0.9910
O9 0.9051 0.2806 0.8016
O10 0.9663 0.7211 0.5940
```

The 12 most intense peaks (2θ = 10–80°), sorted by position:
12.32 deg, intensity 28; 21.53 deg, intensity 63; 22.05 deg, intensity 75; 25.59 deg, intensity 41; 26.34 deg, intensity 76; 35.36 deg, intensity 27; 39.41 deg, intensity 100; 43.38 deg, intensity 89; 44.86 deg, intensity 81; 60.14 deg, intensity 29; 60.96 deg, intensity 23; 64.91 deg, intensity 22

***

3.
Theoretical powder XRD pattern
Compound: Li5Ti2Fe3O10
Radiation: Cu Kα
Structure: a PBE+U-relaxed structure
Intensities are scaled so that the largest is 100.

Cell and atoms:
```
data_Li5Ti2Fe3O10
_cell_length_a 5.1680
_cell_length_b 5.2384
_cell_length_c 7.8407
_cell_angle_alpha 72.02
_cell_angle_beta 71.10
_cell_angle_gamma 80.08
_space_group_name_H-M_alt 'P -1'
_space_group_IT_number 2
_space_group_name_Hall '-P 1'
loop_
_atom_site_label
_atom_site_fract_x
_atom_site_fract_y
_atom_site_fract_z
Li1 0.0000 0.0000 0.0000
Li2 0.4863 0.8996 0.7099
Li3 0.4948 0.2799 0.9050
Ti1 0.0218 0.4042 0.1942
Fe1 0.0009 0.1874 0.6061
Fe2 0.5000 0.5000 0.5000
O1 0.2185 0.6342 0.9601
O2 0.2289 0.0769 0.1603
O3 0.2452 0.4512 0.3458
O4 0.2503 0.8154 0.5670
O5 0.2528 0.2841 0.7401
```

The 12 most intense peaks (2θ = 10–80°), sorted by position:
12.40 deg, intensity 100; 17.86 deg, intensity 39; 18.20 deg, intensity 83; 22.44 deg, intensity 24; 26.50 deg, intensity 22; 42.22 deg, intensity 81; 42.71 deg, intensity 75; 43.07 deg, intensity 75; 60.77 deg, intensity 24; 61.54 deg, intensity 20; 62.22 deg, intensity 40; 62.35 deg, intensity 20

***

4.
Theoretical powder XRD pattern
Compound: Li6TiFe5O12
Radiation: Cu Kα
Structure: a PBE+U-relaxed structure
Intensities are scaled so that the largest is 100.

Cell and atoms:
```
data_Li6TiFe5O12
_cell_length_a 5.1606
_cell_length_b 8.9440
_cell_length_c 10.1967
_cell_angle_alpha 90.00
_cell_angle_beta 98.18
_cell_angle_gamma 90.00
_space_group_name_H-M_alt 'C 1 2 1'
_space_group_IT_number 5
_space_group_name_Hall 'C 2y'
loop_
_atom_site_label
_atom_site_fract_x
_atom_site_fract_y
_atom_site_fract_z
Li1 0.1142 0.0000 0.2549
Li2 0.1143 0.3375 0.2582
Li3 0.1154 0.6764 0.2568
Ti1 0.0000 0.5079 0.5000
Fe1 0.0000 0.0040 0.0000
Fe2 0.0000 0.1683 0.5000
Fe3 0.0000 0.3374 0.0000
Fe4 0.0000 0.6703 0.0000
Fe5 0.0000 0.8365 0.5000
O1 0.1303 0.8362 0.8852
O2 0.1315 0.1702 0.8867
O3 0.1332 0.5046 0.8879
O4 0.1864 0.3413 0.6101
O5 0.2063 0.6581 0.6141
O6 0.2187 0.0133 0.6131
```

The 12 most intense peaks (2θ = 10–80°), sorted by position:
17.57 deg, intensity 100; 35.14 deg, intensity 9; 35.35 deg, intensity 22; 36.63 deg, intensity 17; 37.12 deg, intensity 9; 41.85 deg, intensity 12; 42.66 deg, intensity 20; 45.89 deg, intensity 24; 46.88 deg, intensity 11; 55.82 deg, intensity 13; 60.25 deg, intensity 8; 62.32 deg, intensity 20

***

5.
Theoretical powder XRD pattern
Compound: Li4Ti2V3Fe3O16
Radiation: Cu Kα
Structure: a PBE+U-relaxed structure
Intensities are scaled so that the largest is 100.

Cell and atoms:
```
data_Li4Ti2V3Fe3O16
_cell_length_a 5.9315
_cell_length_b 5.9332
_cell_length_c 9.6016
_cell_angle_alpha 89.30
_cell_angle_beta 89.24
_cell_angle_gamma 60.21
_space_group_name_H-M_alt 'P 1'
_space_group_IT_number 1
_space_group_name_Hall 'P 1'
loop_
_atom_site_label
_atom_site_fract_x
_atom_site_fract_y
_atom_site_fract_z
Li1 0.0000 0.0000 0.0000
Li2 0.9999 0.0007 0.4958
Li3 0.3364 0.3368 0.4019
Li4 0.6674 0.6701 0.9026
Ti1 0.3425 0.3413 0.0050
Ti2 0.6636 0.6631 0.4868
V1 0.1641 0.6597 0.7203
V2 0.6583 0.1689 0.7213
V3 0.8302 0.8307 0.2233
Fe1 0.1710 0.1678 0.7130
Fe2 0.3442 0.8355 0.2180
Fe3 0.8355 0.3445 0.2180
O1 0.0021 0.0025 0.3084
O2 0.0416 0.4953 0.8384
O3 0.1722 0.1730 0.0930
O4 0.1734 0.6618 0.0978
O5 0.3300 0.8239 0.6045
O6 0.3406 0.3391 0.6071
O7 0.4828 0.4818 0.8428
O8 0.4908 0.0456 0.8404
O9 0.5225 0.5229 0.3521
O10 0.5225 0.9619 0.3558
O11 0.6611 0.1739 0.0985
O12 0.6721 0.6726 0.1090
O13 0.8264 0.3303 0.6038
O14 0.8341 0.8375 0.6065
O15 0.9620 0.5233 0.3557
O16 0.9988 0.0007 0.8127
```

The 12 most intense peaks (2θ = 10–80°), sorted by position:
18.48 deg, intensity 100; 19.50 deg, intensity 66; 19.63 deg, intensity 49; 19.74 deg, intensity 29; 25.26 deg, intensity 28; 36.07 deg, intensity 40; 36.20 deg, intensity 28; 39.60 deg, intensity 34; 45.01 deg, intensity 49; 45.38 deg, intensity 31; 59.88 deg, intensity 26; 62.65 deg, intensity 40

***

Q: Which formula does entry 5 have?
A: Li4Ti2V3Fe3O16